The following is a simulated powder XRD pattern of NaNi4F10. It was derived from a crystal structure in Alexandria, relaxed with GGA+U, using λ = 1.5418 Å (Cu Kα).
Lines closer than 0.1° are merged.

Principal peaks in the range 2θ = 5–70°, by angle:
| hkl | 2theta | d [Å] | Rel. int. |
| --- | --- | --- | --- |
| 0 0 1 | 10.46 | 8.456 | 100 |
| 0 1 1 | 17.02 | 5.209 | 28 |
| 1 0 1 | 24.62 | 3.616 | 74 |
| 0 2 0 | 26.96 | 3.307 | 57 |
| 0 1 3 | 34.59 | 2.593 | 27 |
| 2 0 0 | 45.34 | 2.000 | 26 |

Structural model:
Unit cell a=4.001 b=6.614 c=8.456 alpha=90.00 beta=90.00 gamma=90.00
Positions (direct):
Na1 0.000 0.000 0.000
Ni1 0.000 0.000 0.614
Ni2 0.000 0.500 0.785
Ni3 0.500 0.000 0.330
Ni4 0.500 0.500 0.486
F1 0.000 0.000 0.376
F2 0.000 0.201 0.779
F3 0.000 0.500 0.003
F4 0.000 0.500 0.535
F5 0.000 0.799 0.779
F6 0.500 0.000 0.107
F7 0.500 0.000 0.573
F8 0.500 0.288 0.331
F9 0.500 0.500 0.727
F10 0.500 0.712 0.331